Calculated X-ray diffraction stick pattern
Compound: V3Fe13
Radiation: Cu Kα, 1.54184 Å
Structure: a cell relaxed with GGA-PBE
Peak positions follow from Bragg's law for the DFT cell and can differ from measured ones.

Principal peaks in the range 2θ = 10–80°, most intense first:
2θ (°)	I/Imax	(hkl)
44.25	100	2 2 2
50.91	16	0 4 0
51.53	15	0 0 4
52.21	15	4 0 0
75.36	9	0 4 4
75.92	9	4 4 0
76.42	8	4 0 4
17.58	1	0 1 1

Atomic structure:
```
data_V3Fe13
_chemical_formula_sum 'V6 Fe26'
_space_group_name_H-M_alt 'A m m 2'
_space_group_IT_number 38
_space_group_name_Hall 'A 2 -2'
_cell_length_a 7.0077
_cell_length_b 7.1748
_cell_length_c 7.0944
_cell_angle_alpha 90.00
_cell_angle_beta 90.00
_cell_angle_gamma 90.00
loop_
_atom_site_label
_atom_site_fract_x
_atom_site_fract_y
_atom_site_fract_z
V1 0.0000 0.0000 0.0000
V2 0.2612 0.0000 0.2674
Fe1 0.0000 0.0000 0.5203
Fe2 0.0000 0.2485 0.2556
Fe3 0.2472 0.0000 0.7549
Fe4 0.2542 0.2502 0.0117
Fe5 0.5000 0.0000 0.0033
Fe6 0.5000 0.0000 0.5169
Fe7 0.5000 0.2402 0.7604
```

Calculated X-ray diffraction stick pattern
Compound: MgNi2Br
Radiation: Cu Kα, 1.54184 Å
Structure: a cell relaxed with GGA-PBE
Peak positions follow from Bragg's law for the DFT cell and can differ from measured ones.

Principal peaks in the range 2θ = 10–80°, most intense first:
2θ (°)	I/Imax	(hkl)
39.94	100	1 1 2
48.38	28	2 0 0
42.40	21	0 0 4
66.26	21	2 0 4
75.90	14	1 1 6
25.88	10	1 0 1
70.83	8	2 2 0
20.83	8	0 0 2
33.69	4	1 1 0
39.74	3	1 0 3

Atomic structure:
```
data_MgNi2Br
_chemical_formula_sum 'Mg2 Ni4 Br2'
_space_group_name_H-M_alt 'I -4 m 2'
_space_group_IT_number 119
_space_group_name_Hall 'I -4 -2'
_cell_length_a 3.7627
_cell_length_b 3.7627
_cell_length_c 8.5275
_cell_angle_alpha 90.00
_cell_angle_beta 90.00
_cell_angle_gamma 90.00
loop_
_atom_site_label
_atom_site_fract_x
_atom_site_fract_y
_atom_site_fract_z
Mg1 0.0000 0.0000 0.0000
Ni1 0.0000 0.0000 0.5000
Ni2 0.0000 0.5000 0.7500
Br1 0.0000 0.5000 0.2500
```

Calculated X-ray diffraction stick pattern
Compound: BeAg4F6
Radiation: Cu Kα, 1.54184 Å
Structure: a cell relaxed with GGA-PBE
Peak positions follow from Bragg's law for the DFT cell and can differ from measured ones.

Principal peaks in the range 2θ = 10–80°, most intense first:
2θ (°)	I/Imax	(hkl)
26.29	100	1 1 2
32.51	88	3 1 -1
26.94	78	0 2 1
38.00	71	2 2 -3
34.56	60	2 0 -4
45.40	44	1 3 2
16.91	43	1 1 -1
33.78	41	1 1 3
33.32	38	3 1 -2
46.89	34	2 0 4

Atomic structure:
```
data_BeAg4F6
_chemical_formula_sum 'Be4 Ag16 F24'
_space_group_name_H-M_alt 'C 1 c 1'
_space_group_IT_number 9
_space_group_name_Hall 'C -2yc'
_cell_length_a 8.9987
_cell_length_b 6.9934
_cell_length_c 10.8244
_cell_angle_alpha 90.00
_cell_angle_beta 108.76
_cell_angle_gamma 90.00
loop_
_atom_site_label
_atom_site_fract_x
_atom_site_fract_y
_atom_site_fract_z
Be1 0.0000 0.2359 0.0000
Ag1 0.1103 0.1127 0.3095
Ag2 0.1557 0.3321 0.5564
Ag3 0.3445 0.3257 0.9219
Ag4 0.4163 0.1022 0.1859
F1 0.1239 0.4375 0.3487
F2 0.1725 0.2931 0.0774
F3 0.2470 0.1554 0.7360
F4 0.3862 0.0904 0.4923
F5 0.4478 0.4335 0.5744
F6 0.4837 0.3356 0.3593
```